1.
Pm5Dy8In: theoretical X-ray powder pattern (λ = 1.5418 Å (Cu Kα)), based on a PBE-relaxed structure.

Main lines, in order of rising 2θ (2θ = 10–80°):
(2 2 -2), d 2.998, intensity 34; (1 1 2), d 2.888, intensity 47; (2 2 1), d 2.851, intensity 52; (5 1 -1), d 2.807, intensity 100; (4 0 -3), d 2.770, intensity 41; (1 3 0), d 2.736, intensity 48; (1 3 -1), d 2.659, intensity 20; (9 1 -4), d 1.591, intensity 14

Structure:
Cell: 15.220 8.391 8.573 Å, 90.00 122.48 90.00°
Space group C2 (No. 5)
Inequivalent atoms, fractional coordinates:
Pm (0.000, 0.000, 0.000) x2
Pm (0.050, 0.663, 0.278) x4
Pm (0.099, 0.329, 0.956) x4
Dy (0.128, 0.948, 0.680) x4
Dy (0.175, 0.546, 0.715) x4
Dy (0.184, 0.256, 0.424) x4
Dy (0.190, 0.727, 0.068) x4
In (0.000, 0.283, 0.500) x2



2.
Sc5TaIr6: theoretical X-ray powder pattern (λ = 1.5418 Å (Cu Kα)), based on a PBE-relaxed structure.

Main lines, in order of rising 2θ (2θ = 10–80°):
(0 2 0), d 3.387, intensity 15; (1 0 3), d 3.154, intensity 26; (1 2 3), d 2.308, intensity 100; (2 0 0), d 2.230, intensity 46; (2 0 6), d 1.577, intensity 15; (2 4 0), d 1.349, intensity 18; (3 2 3), d 1.303, intensity 16; (1 2 9), d 1.301, intensity 16

Structure:
Cell: 4.465 6.775 13.367 Å, 90.00 90.00 90.00°
Space group Immm (No. 71)
Inequivalent atoms, fractional coordinates:
Sc (0.000, 0.000, 0.000) x2
Sc (0.000, 0.000, 0.329) x4
Sc (0.000, 0.500, 0.336) x4
Ta (0.000, 0.500, 0.000) x2
Ir (0.000, 0.234, 0.500) x4
Ir (0.000, 0.257, 0.163) x8



3.
Pr2SmDyS6: theoretical X-ray powder pattern (λ = 1.5418 Å (Cu Kα)), based on a PBE-relaxed structure.

Main lines, in order of rising 2θ (2θ = 10–80°):
(0 1 2), d 5.162, intensity 35; (1 0 4), d 3.737, intensity 100; (1 1 0), d 3.568, intensity 96; (0 2 4), d 2.581, intensity 52; (2 -1 6), d 2.352, intensity 69; (3 -1 4), d 2.091, intensity 51; (3 0 0), d 2.060, intensity 48; (1 0 10), d 1.796, intensity 21

Structure:
Cell: 7.1369 7.1369 18.7677 Å, 90.00 90.00 120.00°
Space group R3 (No. 146, hexagonal axes)
Inequivalent atoms, fractional coordinates:
Pr (0.0000, 0.0000, 0.0000) x3
Pr (0.0000, 0.0000, 0.4985) x3
Sm (0.0000, 0.0000, 0.2072) x3
Dy (0.0000, 0.0000, 0.7052) x3
S (0.0452, 0.3573, 0.7734) x9
S (0.0473, 0.6806, 0.2743) x9



4.
La3Nd3Al22: theoretical X-ray powder pattern (λ = 1.5418 Å (Cu Kα)), based on a PBE-relaxed structure.

Main lines, in order of rising 2θ (2θ = 10–80°):
(2 0 2), d 5.030, intensity 47; (1 1 1), d 4.056, intensity 71; (4 0 -2), d 3.990, intensity 65; (3 1 -3), d 3.103, intensity 58; (3 1 3), d 2.674, intensity 60; (1 1 -5), d 2.646, intensity 100; (5 1 -1), d 2.637, intensity 74; (0 2 0), d 2.216, intensity 37

Structure:
Cell: 16.428 4.432 16.512 Å, 90.00 104.70 90.00°
Space group Cm (No. 8)
Inequivalent atoms, fractional coordinates:
La (0.000, 0.000, 0.000) x2
La (0.001, 0.500, 0.500) x2
La (0.315, 0.000, 0.684) x2
Nd (0.158, 0.000, 0.843) x2
Nd (0.158, 0.500, 0.341) x2
Nd (0.316, 0.500, 0.184) x2
Al (0.010, 0.500, 0.858) x2
Al (0.011, 0.000, 0.358) x2
Al (0.014, 0.500, 0.699) x2
Al (0.015, 0.000, 0.199) x2
Al (0.089, 0.000, 0.638) x2
Al (0.089, 0.500, 0.137) x2
Al (0.141, 0.500, 0.991) x2
Al (0.142, 0.000, 0.491) x2
Al (0.174, 0.500, 0.694) x2
Al (0.175, 0.000, 0.193) x2
Al (0.227, 0.000, 0.047) x2
Al (0.227, 0.500, 0.546) x2
Al (0.301, 0.500, 0.986) x2
Al (0.302, 0.000, 0.484) x2
Al (0.306, 0.000, 0.325) x2
Al (0.306, 0.500, 0.826) x2
Al (0.363, 0.000, 0.911) x2
Al (0.363, 0.500, 0.409) x2
Al (0.408, 0.000, 0.092) x2
Al (0.408, 0.500, 0.592) x2
Al (0.453, 0.000, 0.274) x2
Al (0.453, 0.500, 0.773) x2



5.
Pr3Dy6Tm2Zr: theoretical X-ray powder pattern (λ = 1.5418 Å (Cu Kα)), based on a PBE-relaxed structure.

Main lines, in order of rising 2θ (2θ = 10–80°):
(2 0 -2), d 2.894, intensity 34; (1 3 1), d 2.890, intensity 100; (2 0 2), d 2.504, intensity 67; (0 6 0), d 1.772, intensity 24; (1 3 5), d 1.769, intensity 23; (4 0 0), d 1.511, intensity 24; (0 6 4), d 1.510, intensity 23; (2 6 2), d 1.447, intensity 12

Structure:
Cell: 6.143 10.627 11.720 Å, 90.00 100.02 90.00°
Space group C2/m (No. 12)
Inequivalent atoms, fractional coordinates:
Pr (0.000, 0.000, 0.000) x2
Pr (0.000, 0.334, 0.000) x4
Dy (0.243, 0.337, 0.739) x8
Dy (0.247, 0.500, 0.261) x4
Tm (0.000, 0.167, 0.500) x4
Zr (0.000, 0.500, 0.500) x2



6.
TaSbW2: theoretical X-ray powder pattern (λ = 1.5418 Å (Cu Kα)), based on a PBE-relaxed structure.

Main lines, in order of rising 2θ (2θ = 10–80°):
(1 1 2), d 2.332, intensity 100; (0 0 4), d 2.305, intensity 24; (0 2 0), d 2.252, intensity 23; (2 0 0), d 1.689, intensity 9; (0 2 4), d 1.611, intensity 16; (2 0 4), d 1.363, intensity 9; (1 1 6), d 1.336, intensity 17; (1 3 2), d 1.315, intensity 16

Structure:
Cell: 3.378 4.505 9.221 Å, 90.00 90.00 90.00°
Space group Imm2 (No. 44)
Inequivalent atoms, fractional coordinates:
Ta (0.000, 0.000, 0.000) x2
Sb (0.000, 0.500, 0.239) x2
W (0.000, 0.000, 0.487) x2
W (0.000, 0.500, 0.747) x2



7.
Ba3LiAg: theoretical X-ray powder pattern (λ = 1.5418 Å (Cu Kα)), based on a PBE-relaxed structure.

Main lines, in order of rising 2θ (2θ = 10–80°):
(1 0 0), d 6.514, intensity 100; (1 1 1), d 3.761, intensity 54; (2 0 0), d 3.257, intensity 89; (2 1 0), d 2.913, intensity 58; (2 2 0), d 2.303, intensity 68; (3 0 0), d 2.171, intensity 31; (3 1 1), d 1.964, intensity 27; (4 2 0), d 1.457, intensity 32

Structure:
Cell: 6.514 6.514 6.514 Å, 90.00 90.00 90.00°
Space group Pm-3m (No. 221)
Inequivalent atoms, fractional coordinates:
Ba (0.000, 0.000, 0.500) x3
Li (0.500, 0.500, 0.500) x1
Ag (0.000, 0.000, 0.000) x1



8.
Cu14NiIr: theoretical X-ray powder pattern (λ = 1.5418 Å (Cu Kα)), based on a PBE-relaxed structure.

Main lines, in order of rising 2θ (2θ = 10–80°):
(1 1 1), d 3.942, intensity 18; (1 2 2), d 2.161, intensity 55; (1 0 4), d 2.151, intensity 28; (4 0 0), d 2.095, intensity 56; (2 2 2), d 1.973, intensity 100; (2 0 4), d 1.966, intensity 47; (3 2 2), d 1.746, intensity 28; (0 2 6), d 1.287, intensity 21

Structure:
Cell: 8.381 5.175 8.902 Å, 90.00 90.00 90.00°
Space group Amm2 (No. 38)
Inequivalent atoms, fractional coordinates:
Cu (0.000, 0.000, 0.000) x2
Cu (0.000, 0.000, 0.499) x2
Cu (0.000, 0.249, 0.249) x4
Cu (0.247, 0.000, 0.666) x4
Cu (0.248, 0.247, 0.416) x8
Cu (0.251, 0.000, 0.167) x4
Cu (0.500, 0.249, 0.584) x4
Ni (0.500, 0.000, 0.336) x2
Ir (0.500, 0.000, 0.834) x2



9.
Tb12HoTh7: theoretical X-ray powder pattern (λ = 1.5418 Å (Cu Kα)), based on a PBE-relaxed structure.

Main lines, in order of rising 2θ (2θ = 10–80°):
(2 2 0), d 4.086, intensity 43; (2 2 2), d 3.336, intensity 50; (4 0 0), d 2.889, intensity 100; (4 2 2), d 2.359, intensity 21; (4 4 0), d 2.043, intensity 75; (6 2 2), d 1.742, intensity 23; (4 4 4), d 1.668, intensity 27; (8 4 0), d 1.292, intensity 34

Structure:
Cell: 11.556 11.556 11.556 Å, 90.00 90.00 90.00°
Space group Im-3 (No. 204)
Inequivalent atoms, fractional coordinates:
Tb (0.000, 0.252, 0.254) x24
Ho (0.000, 0.000, 0.000) x2
Th (0.000, 0.000, 0.500) x6
Th (0.250, 0.250, 0.250) x8



10.
BC3: theoretical X-ray powder pattern (λ = 1.5418 Å (Cu Kα)), based on a PBE-relaxed structure.

Main lines, in order of rising 2θ (2θ = 10–80°):
(0 0 2), d 6.450, intensity 2; (0 0 4), d 3.225, intensity 2; (0 0 5), d 2.580, intensity 2; (0 0 6), d 2.150, intensity 31; (0 1 2), d 2.110, intensity 100; (1 0 3), d 1.982, intensity 1; (0 1 8), d 1.307, intensity 25; (1 1 0), d 1.289, intensity 26

Structure:
Cell: 2.5782 2.5782 12.9000 Å, 90.00 90.00 120.00°
Space group P3m1 (No. 156)
Inequivalent atoms, fractional coordinates:
B (0.0000, 0.0000, 0.0000) x1
B (0.3333, 0.6667, 0.1666) x1
B (0.6667, 0.3333, 0.7040) x1
C (0.0000, 0.0000, 0.3778) x1
C (0.0000, 0.0000, 0.4971) x1
C (0.0000, 0.0000, 0.8657) x1
C (0.3333, 0.6667, 0.0441) x1
C (0.3333, 0.6667, 0.5384) x1
C (0.3333, 0.6667, 0.6558) x1
C (0.6667, 0.3333, 0.2197) x1
C (0.6667, 0.3333, 0.3363) x1
C (0.6667, 0.3333, 0.8342) x1



11.
GaBSe4: theoretical X-ray powder pattern (λ = 1.5418 Å (Cu Kα)), based on a PBE-relaxed structure.

Main lines, in order of rising 2θ (2θ = 10–80°):
(1 1 2), d 2.952, intensity 100; (1 0 3), d 2.729, intensity 11; (2 0 0), d 2.657, intensity 17; (1 2 1), d 2.306, intensity 20; (2 2 0), d 1.878, intensity 16; (2 0 4), d 1.775, intensity 30; (1 3 2), d 1.585, intensity 22; (1 1 6), d 1.464, intensity 11

Structure:
Cell: 5.313 5.313 9.542 Å, 90.00 90.00 90.00°
Space group I-4 (No. 82)
Inequivalent atoms, fractional coordinates:
Ga (0.000, 0.000, 0.000) x2
B (0.000, 0.500, 0.250) x2
Se (0.204, 0.757, 0.367) x8



12.
In2Co2Cu: theoretical X-ray powder pattern (λ = 1.5418 Å (Cu Kα)), based on a PBE-relaxed structure.

Main lines, in order of rising 2θ (2θ = 10–80°):
(1 1 1), d 2.730, intensity 82; (1 1 -2), d 2.694, intensity 66; (0 0 3), d 2.380, intensity 39; (2 1 0), d 2.160, intensity 100; (2 1 -2), d 2.136, intensity 65; (2 0 -3), d 2.115, intensity 28; (0 2 0), d 2.099, intensity 87; (0 1 3), d 2.070, intensity 76

Structure:
Cell: 5.340 4.197 7.567 Å, 90.00 109.34 90.00°
Space group Pm (No. 6)
Inequivalent atoms, fractional coordinates:
In (0.000, 0.000, 0.000) x1
In (0.142, 0.500, 0.359) x1
In (0.348, 0.000, 0.671) x1
In (0.510, 0.500, 0.089) x1
Co (0.099, 0.500, 0.759) x1
Co (0.413, 0.000, 0.319) x1
Co (0.840, 0.000, 0.635) x1
Co (0.844, 0.000, 0.312) x1
Cu (0.657, 0.500, 0.784) x1
Cu (0.691, 0.500, 0.460) x1